# 1
For TaSn2S2, a GGA-PBE-relaxed structure gives the simulated PXRD pattern in this record (a wavelength of 1.5418 Å).
Intensities are scaled so that the largest is 100.

Main lines, by angle (2θ from 5° to 70°):
d/Å  2θ (°)  I/Imax
6.031  14.69  37
4.020  22.11  32
2.872  31.14  31
2.852  31.36  33
2.468  36.40  100
1.743  52.50  30

Cell and atoms:
```
TaSn2S2
1.0
3.3165 0.0000 0.0000
-1.6583 2.8722 0.0000
0.0000 0.0000 24.1228
Ta Sn S
2 4 4
Cartesian
0.0000 1.9148 6.0307
1.6583 0.9574 18.0921
0.0000 1.9148 1.4536
0.0000 1.9148 10.6078
1.6583 0.9574 13.5150
1.6583 0.9574 22.6691
0.0000 1.9148 16.5265
0.0000 1.9148 19.6576
1.6583 0.9574 4.4652
1.6583 0.9574 7.5962
```

=====

# 2
For Tl4SnS4, a GGA-PBE-relaxed structure gives the simulated PXRD pattern in this record (a wavelength of 1.5418 Å).
Intensities are scaled so that the largest is 100.

Main lines, by angle (2θ from 5° to 70°):
d/Å  2θ (°)  I/Imax
3.867  23.00  100
3.768  23.61  75
3.711  23.98  49
3.056  29.22  40
2.874  31.11  38
2.672  33.54  38

Cell and atoms:
```
Tl4SnS4
1.0
8.5477 0.0000 0.0000
0.0000 8.4733 0.0000
-4.1462 0.0000 15.4684
Tl Sn S
16 4 16
Cartesian
-0.3300 0.0468 2.0584
-2.4031 4.1899 9.7926
-1.0121 0.8501 9.6239
1.0610 3.3865 1.8897
0.8604 5.7457 9.4369
2.9335 6.9642 1.7027
1.9236 6.0650 5.5696
-0.1494 6.6450 13.3038
4.5510 1.8283 2.1646
2.4779 2.4083 9.8988
1.4680 1.5091 13.7657
3.5411 2.7275 6.0315
3.3405 5.0868 13.5788
5.4136 7.6231 5.8446
6.8046 4.2834 5.6758
4.7315 8.4265 13.4100
0.2561 0.9797 5.8487
-1.8170 3.2569 13.5830
6.2185 5.2164 1.8855
4.1454 7.4936 9.6197
-0.4046 5.6991 3.2989
-2.4777 7.0108 11.0332
-2.3960 5.2108 14.9176
-0.3229 7.4991 7.1834
-1.3741 1.2868 14.9099
0.6990 2.9498 7.1757
2.2122 0.4763 4.5066
0.1391 3.7604 12.2408
4.2624 4.7129 3.2276
2.1893 7.9970 10.9618
3.7025 5.5234 8.2927
5.7756 7.1865 0.5585
4.7244 0.9742 8.2850
6.7975 3.2625 0.5508
6.8792 1.4625 4.4353
4.8061 2.7741 12.1695
```

=====

# 3
For Tl2SnS3, a GGA-PBE-relaxed structure gives the simulated PXRD pattern in this record (a wavelength of 1.5418 Å).
Intensities are scaled so that the largest is 100.

Main lines, by angle (2θ from 5° to 70°):
d/Å  2θ (°)  I/Imax
3.930  22.62  87
3.757  23.68  100
3.013  29.65  73
2.834  31.57  64
2.760  32.44  57
2.638  33.98  56

Cell and atoms:
```
Tl2SnS3
1.0
11.8121 -1.9577 0.0000
11.8121 1.9577 0.0000
-0.4495 0.0000 7.5147
Tl Sn S
4 2 6
Cartesian
0.0730 0.0000 1.8983
3.4574 0.0000 5.9067
19.7172 0.0000 1.6080
23.1016 0.0000 5.6165
7.9859 0.0000 5.4151
15.1887 0.0000 2.0996
4.9195 0.0000 2.1462
9.4816 0.0000 3.5527
9.3085 0.0000 7.4093
13.8661 0.0000 0.1055
13.6930 0.0000 3.9620
18.2552 0.0000 5.3685
```

=====

# 4
For Tl2Sn2S5, a GGA-PBE-relaxed structure gives the simulated PXRD pattern in this record (a wavelength of 1.5418 Å).
Intensities are scaled so that the largest is 100.

Main lines, by angle (2θ from 5° to 70°):
d/Å  2θ (°)  I/Imax
3.751  23.72  46
3.486  25.55  100
3.417  26.08  90
3.362  26.51  43
2.934  30.46  77
1.961  46.30  35

Cell and atoms:
```
Tl2Sn2S5
1.0
5.6732 -3.9879 0.0000
5.6732 3.9879 0.0000
-3.6596 0.0000 11.0420
Tl Sn S
4 4 10
Cartesian
1.3097 1.4254 3.5021
-0.5201 -1.4254 9.0231
8.2069 1.4254 2.0189
6.3771 -1.4254 7.5399
4.3881 1.2324 0.6400
5.1285 1.2324 4.8811
2.5583 -1.2324 6.1610
3.2986 -1.2324 10.4021
2.0872 0.4369 0.4174
4.7583 2.5119 2.7605
0.2573 -0.4369 5.9384
2.3008 1.0910 9.7762
3.5561 1.0910 6.7869
4.1307 -1.0910 4.2551
5.3859 -1.0910 1.2659
7.4294 0.4369 5.1036
2.9285 -2.5119 8.2815
5.5996 -0.4369 10.6246
```

=====

# 5
For Zr5Sn3S, a GGA-PBE-relaxed structure gives the simulated PXRD pattern in this record (a wavelength of 1.5418 Å).
Intensities are scaled so that the largest is 100.

Main lines, by angle (2θ from 5° to 70°):
d/Å  2θ (°)  I/Imax
3.009  29.69  20
2.547  35.24  100
2.479  36.24  53
2.464  36.46  87
1.951  46.54  27
1.633  56.34  26

Cell and atoms:
```
Zr5Sn3S
1.0
8.5875 0.0000 0.0000
-4.2938 7.4370 0.0000
0.0000 0.0000 6.0183
Zr Sn S
10 6 2
Cartesian
-1.0820 1.8741 1.5046
-3.2118 5.5629 4.5137
2.1640 0.0000 1.5046
1.0820 1.8741 4.5137
0.0000 4.9580 0.0000
0.0000 4.9580 3.0091
4.2938 2.4790 0.0000
4.2938 2.4790 3.0091
6.4235 0.0000 4.5137
3.2118 5.5629 1.5046
-1.7132 2.9673 4.5137
-2.5806 4.4697 1.5046
3.4263 0.0000 4.5137
1.7132 2.9673 1.5046
5.1612 0.0000 1.5046
2.5806 4.4697 4.5137
0.0000 0.0000 0.0000
0.0000 0.0000 3.0091
```

=====

# 6
For SrS3, a GGA-PBE-relaxed structure gives the simulated PXRD pattern in this record (a wavelength of 1.5418 Å).
Intensities are scaled so that the largest is 100.

Main lines, by angle (2θ from 5° to 70°):
d/Å  2θ (°)  I/Imax
3.640  24.46  76
3.504  25.42  79
2.705  33.12  87
2.648  33.85  76
2.524  35.57  79
2.142  42.18  100

Cell and atoms:
```
SrS3
1.0
7.0090 0.0000 0.0000
0.0000 4.0417 3.6397
0.0000 -4.0417 3.6397
Sr S
2 6
Cartesian
0.0000 0.0000 0.0000
3.5045 0.0000 3.6397
0.0000 0.0000 3.8624
0.9982 1.3299 2.6032
2.5063 -2.7119 2.6032
3.5045 0.0000 0.2227
4.5027 2.7119 2.6032
6.0108 -1.3299 2.6032
```

=====

# 7
For SrS, a GGA-PBE-relaxed structure gives the simulated PXRD pattern in this record (a wavelength of 1.5418 Å).
Intensities are scaled so that the largest is 100.

Main lines, by angle (2θ from 5° to 70°):
d/Å  2θ (°)  I/Imax
3.501  25.44  37
3.032  29.46  100
2.144  42.15  72
1.828  49.88  20
1.750  52.26  25
1.356  69.30  32

Cell and atoms:
```
SrS
1.0
0.0000 3.0317 3.0317
3.0317 0.0000 3.0317
3.0317 3.0317 0.0000
Sr S
1 1
Cartesian
0.0000 0.0000 0.0000
3.0317 3.0317 3.0317
```

=====

# 8
For SrS, a GGA-PBE-relaxed structure gives the simulated PXRD pattern in this record (a wavelength of 1.5418 Å).
Intensities are scaled so that the largest is 100.

Main lines, by angle (2θ from 5° to 70°):
d/Å  2θ (°)  I/Imax
3.668  24.26  24
2.594  34.58  100
2.118  42.69  8
1.834  49.71  17
1.641  56.06  11
1.498  61.96  35

Cell and atoms:
```
SrS
1.0
3.6684 0.0000 0.0000
0.0000 3.6684 0.0000
0.0000 0.0000 3.6684
Sr S
1 1
Cartesian
0.0000 0.0000 0.0000
1.8342 1.8342 1.8342
```

=====

- What is the formula in the sixth record?
  SrS3